Record 1
Starting from a cell relaxed with PBE, the XRD peak list of Cd2AsRh2 was simulated for Cu Kα X-rays.
Lines closer than 0.1° are merged.

Main lines, low angle first (2θ = 5–70°):
2theta, Rel. int.
28.15, 107
34.66, 40
37.53, 1000
40.15, 38
40.42, 237
45.14, 271
61.98, 65
62.18, 192
63.92, 122
65.75, 38

Cell and atoms:
Cell: 6.3526 6.3526 4.4630 Å, 90.00 90.00 90.00°
Positions (direct):
Cd (0.1571, 0.3429, 0.0000)
Cd (0.3429, 0.8429, 0.0000)
Cd (0.6571, 0.1571, 0.0000)
Cd (0.8429, 0.6571, 0.0000)
As (0.0000, 0.0000, 0.5000)
As (0.5000, 0.5000, 0.5000)
Rh (0.1567, 0.6567, 0.5000)
Rh (0.3433, 0.1567, 0.5000)
Rh (0.6567, 0.8433, 0.5000)
Rh (0.8433, 0.3433, 0.5000)

---

Record 2
Starting from a cell relaxed with PBE, the XRD peak list of Tb3Dy5Tm was simulated for Cu Kα X-rays.
Lines closer than 0.1° are merged.

Main lines, low angle first (2θ = 5–70°):
2theta, Rel. int.
31.16, 261
31.27, 468
31.57, 355
31.77, 1000
32.06, 139
33.13, 236
33.26, 117
39.06, 116
56.60, 185
66.38, 143

Cell and atoms:
Cell: 8.8272 8.8272 11.2632 Å, 108.38 108.38 44.29°
Positions (direct):
Tb (0.0000, 0.0000, 0.0000)
Tb (0.0000, 0.0000, 0.5000)
Tb (0.1411, 0.3864, 0.6439)
Tb (0.3864, 0.1411, 0.1439)
Tb (0.6136, 0.8589, 0.8561)
Tb (0.8589, 0.6136, 0.3561)
Dy (0.0579, 0.2917, 0.8691)
Dy (0.2917, 0.0579, 0.3691)
Dy (0.3191, 0.6809, 0.2500)
Dy (0.3875, 0.3968, 0.4545)
Dy (0.3968, 0.3875, 0.9545)
Dy (0.6032, 0.6125, 0.0455)
Dy (0.6125, 0.6032, 0.5455)
Dy (0.6809, 0.3191, 0.7500)
Dy (0.7083, 0.9421, 0.6309)
Dy (0.9421, 0.7083, 0.1309)
Tm (0.2269, 0.7731, 0.7500)
Tm (0.7731, 0.2269, 0.2500)

---

Record 3
Starting from a cell relaxed with PBE, the XRD peak list of Cs5KI was simulated for Cu Kα X-rays.
Lines closer than 0.1° are merged.

Main lines, low angle first (2θ = 5–70°):
2theta, Rel. int.
8.94, 229
20.23, 211
20.56, 293
20.78, 1000
29.06, 192
29.33, 158
29.72, 165
34.22, 119
35.74, 132
40.29, 100

Cell and atoms:
Cell: 10.0064 10.0064 13.7414 Å, 96.82 96.82 94.42°
Positions (direct):
Cs (0.1116, 0.6459, 0.3783)
Cs (0.1188, 0.8812, 0.7500)
Cs (0.1970, 0.3488, 0.9921)
Cs (0.3488, 0.1970, 0.4921)
Cs (0.3541, 0.8884, 0.1217)
Cs (0.6459, 0.1116, 0.8783)
Cs (0.6512, 0.8030, 0.5079)
Cs (0.8030, 0.6512, 0.0079)
Cs (0.8812, 0.1188, 0.2500)
Cs (0.8884, 0.3541, 0.6217)
K (0.4408, 0.5592, 0.7500)
K (0.5592, 0.4408, 0.2500)
I (0.0000, 0.0000, 0.0000)
I (0.0000, 0.0000, 0.5000)

---

Record 4
Starting from a cell relaxed with PBE, the XRD peak list of Sr2Ga2P was simulated for Cu Kα X-rays.
Lines closer than 0.1° are merged.

Main lines, low angle first (2θ = 5–70°):
2theta, Rel. int.
28.19, 87
31.16, 1000
35.29, 132
36.69, 300
42.31, 140
45.21, 115
51.90, 77
55.95, 169
57.22, 160
63.64, 81

Cell and atoms:
Cell: 4.2724 7.9879 7.9879 Å, 29.09 90.00 90.00°
Positions (direct):
Sr (0.0000, 0.0000, 0.0000)
Sr (0.0000, 0.2487, 0.2487)
Ga (0.5000, 0.4218, 0.4218)
Ga (0.5000, 0.6100, 0.6100)
P (0.5000, 0.8288, 0.8288)

---

Record 5
Starting from a cell relaxed with PBE, the XRD peak list of LaY2Ho9 was simulated for Cu Kα X-rays.
Lines closer than 0.1° are merged.

Main lines, low angle first (2θ = 5–70°):
2theta, Rel. int.
30.01, 171
31.41, 716
31.82, 1000
35.33, 197
37.74, 105
45.32, 243
56.43, 247
56.69, 168
62.36, 291
66.49, 96

Cell and atoms:
Cell: 11.2503 11.2503 3.5101 Å, 90.00 90.00 120.00°
Positions (direct):
La (0.0000, 0.0000, 0.0000)
Y (0.3333, 0.6667, 0.0000)
Y (0.6667, 0.3333, 0.0000)
Ho (0.0000, 0.5000, 0.0000)
Ho (0.1785, 0.3570, 0.5000)
Ho (0.1785, 0.8215, 0.5000)
Ho (0.3570, 0.1785, 0.5000)
Ho (0.5000, 0.0000, 0.0000)
Ho (0.5000, 0.5000, 0.0000)
Ho (0.6430, 0.8215, 0.5000)
Ho (0.8215, 0.1785, 0.5000)
Ho (0.8215, 0.6430, 0.5000)

---

Record 6
Starting from a cell relaxed with PBE, the XRD peak list of LaMg6Cd12 was simulated for Cu Kα X-rays.
Lines closer than 0.1° are merged.

Main lines, low angle first (2θ = 5–70°):
2theta, Rel. int.
19.45, 323
24.16, 111
30.20, 503
30.49, 1000
36.30, 333
36.55, 219
39.50, 208
39.84, 239
44.29, 160
44.81, 379

Cell and atoms:
Cell: 8.0905 8.0905 8.0905 Å, 104.14 104.14 104.14°
Positions (direct):
La (0.0000, 0.0000, 0.0000)
Mg (0.2948, 0.7026, 0.7026)
Mg (0.2974, 0.2974, 0.7052)
Mg (0.2974, 0.7052, 0.2974)
Mg (0.7026, 0.2948, 0.7026)
Mg (0.7026, 0.7026, 0.2948)
Mg (0.7052, 0.2974, 0.2974)
Cd (0.1110, 0.5000, 0.8890)
Cd (0.1110, 0.8890, 0.5000)
Cd (0.1206, 0.3691, 0.3691)
Cd (0.3691, 0.1206, 0.3691)
Cd (0.3691, 0.3691, 0.1206)
Cd (0.5000, 0.1110, 0.8890)
Cd (0.5000, 0.8890, 0.1110)
Cd (0.6309, 0.6309, 0.8794)
Cd (0.6309, 0.8794, 0.6309)
Cd (0.8794, 0.6309, 0.6309)
Cd (0.8890, 0.1110, 0.5000)
Cd (0.8890, 0.5000, 0.1110)